Calculated powder diffraction line list of PmY2ThBi5 for CuKα, from a crystal structure in Alexandria, relaxed with GGA-PBE.

Largest 12 diffraction maxima, most intense first, 2θ from 10° to 90°:
- 2θ = 31.3°, I 100, hkl 2 0 0
- 2θ = 43.6°, I 72, hkl 2 0 4
- 2θ = 29.6°, I 45, hkl 0 0 4
- 2θ = 22.0°, I 45, hkl 1 1 0
- 2θ = 23.2°, I 39, hkl 1 1 1
- 2θ = 54.7°, I 34, hkl 2 2 4
- 2θ = 44.8°, I 31, hkl 2 2 0
- 2θ = 15.5°, I 26, hkl 1 0 0
- 2θ = 37.2°, I 23, hkl 1 1 4
- 2θ = 81.8°, I 23, hkl 4 2 4
- 2θ = 26.5°, I 18, hkl 1 1 2
- 2θ = 74.2°, I 17, hkl 4 2 0

Structure:
```
data_PmY2ThBi5
_chemical_formula_sum 'Pm1 Y2 Th1 Bi5'
_symmetry_space_group_name_H-M 'P 4/m m m'
_symmetry_Int_Tables_number 123
_symmetry_space_group_name_Hall '-P 4 2'
_cell_length_a 5.718
_cell_length_b 5.718
_cell_length_c 12.065
_cell_angle_alpha 90.00
_cell_angle_beta 90.00
_cell_angle_gamma 90.00
loop_
_atom_site_label
_atom_site_type_symbol
_atom_site_fract_x
_atom_site_fract_y
_atom_site_fract_z
_atom_site_occupancy
Pm1 Pm 0.000 0.000 0.000 1
Y1 Y 0.500 0.500 0.265 1
Th1 Th 0.000 0.000 0.500 1
Bi1 Bi 0.000 0.000 0.244 1
Bi2 Bi 0.000 0.500 0.500 1
Bi3 Bi 0.500 0.500 0.000 1
```